Simulated XRD peak list
Compound: SmTmGeSe
Radiation: Cu Kα (weighted mean of Kα1 and Kα2)
Structure: the GGA-PBE geometry in Alexandria
Intensities are scaled so that the largest is 100.

Most intense lines, 10° ≤ 2θ ≤ 80°, sorted by position:
two_theta  I/Imax
26.29  17
30.41  100
43.44  37
43.63  38
51.60  8
53.79  6
54.11  20
63.27  12
71.67  16
71.94  17

Cell and atoms:
abc: 7.2255 7.2255 7.2255
angles: 33.37 33.37 33.37
Sites, in units of the cell vectors:
Sm (0.0000, 0.0000, 0.0000)
Tm (0.5084, 0.5084, 0.5084)
Ge (0.2515, 0.2515, 0.2515)
Se (0.7579, 0.7579, 0.7579)

***

Simulated XRD peak list
Compound: Ac3SiGe2Au6
Radiation: Cu Kα (weighted mean of Kα1 and Kα2)
Structure: the GGA-PBE geometry in Alexandria
Intensities are scaled so that the largest is 100.

Most intense lines, 10° ≤ 2θ ≤ 80°, sorted by position:
two_theta  I/Imax
10.90  11
21.90  13
26.92  15
31.18  11
33.12  100
38.43  58
46.13  12
55.48  41
66.16  38
69.52  12

Cell and atoms:
abc: 6.6239 6.6239 8.1153
angles: 90.00 90.00 120.00
Sites, in units of the cell vectors:
Ac (0.0000, 0.0000, 0.0000)
Ac (0.3333, 0.6667, 0.6791)
Ac (0.6667, 0.3333, 0.3209)
Si (0.0000, 0.0000, 0.5000)
Ge (0.3333, 0.6667, 0.0844)
Ge (0.6667, 0.3333, 0.9156)
Au (0.1747, 0.3495, 0.3136)
Au (0.1747, 0.8253, 0.3136)
Au (0.3495, 0.1747, 0.6864)
Au (0.6505, 0.8253, 0.3136)
Au (0.8253, 0.1747, 0.6864)
Au (0.8253, 0.6505, 0.6864)